Record 1
Diffraction record for HoZnSiH2O5. The XRD peak list is calculated, not measured: it uses a cell relaxed with GGA-PBE and a wavelength of 1.5418 Å.
Intensities are scaled so that the largest is 100.

The 10 most intense peaks (15° ≤ 2θ ≤ 90°), most intense first:
2theta, Rel. int.
32.06, 100.0
18.81, 96.4
27.10, 57.1
34.97, 56.9
19.97, 51.6
22.26, 44.9
32.74, 44.0
27.51, 42.2
38.13, 37.8
42.73, 31.8

Atomic structure:
Cell: 5.0668 16.4204 5.4391 Å, 90.00 103.52 90.00°
Space group Cc (No. 9)
Asymmetric unit:
Ho1 0.0000 0.0761 0.0000 x4
Zn1 0.1467 0.2523 0.3338 x4
Si1 0.1684 0.3767 0.8697 x4
H1 0.2849 0.0825 0.5644 x4
H2 0.4650 0.0168 0.7483 x4
O1 0.2655 0.4692 0.7958 x4
O2 0.2761 0.0416 0.7049 x4
O3 0.2874 0.3205 0.6692 x4
O4 0.3023 0.3565 0.1638 x4
O5 0.3364 0.1240 0.3108 x4

=====

Record 2
Diffraction record for TbHoH2O4. The XRD peak list is calculated, not measured: it uses a cell relaxed with GGA-PBE and a wavelength of 1.5418 Å.
Intensities are scaled so that the largest is 100.

The 10 most intense peaks (15° ≤ 2θ ≤ 90°), most intense first:
2theta, Rel. int.
29.50, 100.0
33.62, 52.6
31.31, 50.1
22.42, 45.2
33.31, 36.2
15.85, 33.4
40.86, 33.1
32.29, 32.3
52.15, 29.4
21.97, 28.9

Atomic structure:
Cell: 4.2912 3.6013 5.9313 Å, 90.00 109.47 90.00°
Space group Pm (No. 6)
Asymmetric unit:
Tb1 0.0000 0.0000 0.0000 x1
Ho1 0.6708 0.5000 0.3811 x1
H1 0.3244 0.5000 0.7759 x1
H2 0.3436 0.0000 0.5960 x1
O1 0.0880 0.5000 0.7511 x1
O2 0.1042 0.5000 0.2461 x1
O3 0.5694 0.0000 0.1401 x1
O4 0.5806 0.0000 0.6237 x1

=====

Record 3
Diffraction record for HoTmH2O4. The XRD peak list is calculated, not measured: it uses a cell relaxed with GGA-PBE and a wavelength of 1.5418 Å.
Intensities are scaled so that the largest is 100.

The 10 most intense peaks (15° ≤ 2θ ≤ 90°), most intense first:
2theta, Rel. int.
29.83, 100.0
33.92, 53.3
31.62, 50.1
22.56, 45.4
33.62, 37.0
16.02, 33.9
41.33, 33.2
32.56, 32.8
22.13, 29.6
52.75, 28.9

Atomic structure:
Cell: 4.2655 3.5626 5.8728 Å, 90.00 109.65 90.00°
Space group Pm (No. 6)
Asymmetric unit:
Ho1 0.0000 0.0000 0.0000 x1
Tm1 0.3283 0.5000 0.6196 x1
H1 0.6552 0.0000 0.4060 x1
H2 0.6732 0.5000 0.2159 x1
O1 0.4172 0.0000 0.3780 x1
O2 0.4306 0.0000 0.8612 x1
O3 0.8939 0.5000 0.7515 x1
O4 0.9127 0.5000 0.2481 x1

=====

Record 4
Diffraction record for HoTaH4. The XRD peak list is calculated, not measured: it uses a cell relaxed with GGA-PBE and a wavelength of 1.5418 Å.
Intensities are scaled so that the largest is 100.

The 10 most intense peaks (15° ≤ 2θ ≤ 90°), most intense first:
2theta, Rel. int.
32.46, 100.0
37.26, 33.5
64.19, 28.6
54.61, 23.6
38.43, 15.4
65.77, 13.3
53.72, 12.4
89.88, 12.1
67.97, 11.9
88.44, 6.2

Atomic structure:
Cell: 3.4124 3.4124 4.6845 Å, 90.00 90.00 90.00°
Space group P4/mmm (No. 123)
Asymmetric unit:
Ho1 0.0000 0.0000 0.0000 x1
Ta1 0.5000 0.5000 0.5000 x1
H1 0.0000 0.5000 0.2867 x4

=====

Record 5
Diffraction record for K4Na2H18PdI2O20. The XRD peak list is calculated, not measured: it uses a cell relaxed with GGA-PBE and a wavelength of 1.5418 Å.
Intensities are scaled so that the largest is 100.

The 10 most intense peaks (15° ≤ 2θ ≤ 90°), most intense first:
2theta, Rel. int.
17.72, 100.0
31.85, 81.6
19.54, 46.6
29.34, 36.2
31.72, 29.8
29.46, 28.3
17.07, 28.0
40.71, 27.6
28.90, 26.0
40.21, 25.3

Atomic structure:
Cell: 6.6305 7.1264 10.7527 Å, 93.23 104.27 94.90°
Space group P-1 (No. 2)
Asymmetric unit:
K1 0.0847 0.3288 0.1351 x2
K2 0.0963 0.3296 0.6159 x2
Na1 0.2914 0.8252 0.2303 x2
H1 0.0894 0.1135 0.3824 x2
H2 0.1433 0.1358 0.8645 x2
H3 0.1833 0.3596 0.8710 x2
H4 0.3020 0.0181 0.5610 x2
H5 0.3317 0.1285 0.3919 x2
H6 0.3500 0.6179 0.9897 x2
H7 0.3614 0.6490 0.4662 x2
H8 0.3850 0.4873 0.3678 x2
H9 0.4629 0.5307 0.1182 x2
Pd1 0.5000 0.0000 0.0000 x1
I1 0.3399 0.7962 0.7372 x2
O1 0.0739 0.2558 0.8684 x2
O2 0.0755 0.7289 0.6317 x2
O3 0.2132 0.0363 0.4007 x2
O4 0.2284 0.9272 0.8662 x2
O5 0.3023 0.5968 0.3750 x2
O6 0.3290 0.5720 0.8212 x2
O7 0.3386 0.5988 0.0785 x2
O8 0.3522 0.0438 0.6577 x2
O9 0.3942 0.1066 0.1457 x2
O10 0.4850 0.7013 0.6229 x2

=====

Record 6
Diffraction record for LaPrH2I4. The XRD peak list is calculated, not measured: it uses a cell relaxed with GGA-PBE and a wavelength of 1.5418 Å.
Intensities are scaled so that the largest is 100.

The 10 most intense peaks (15° ≤ 2θ ≤ 90°), most intense first:
2theta, Rel. int.
32.88, 100.0
25.08, 62.2
29.47, 59.1
26.81, 55.5
43.09, 52.4
63.31, 30.4
55.24, 22.6
45.98, 20.8
72.52, 20.0
44.04, 15.1

Atomic structure:
Cell: 4.1988 4.1988 16.4507 Å, 90.00 90.00 120.00°
Space group P-6m2 (No. 187)
Asymmetric unit:
La1 0.0000 0.0000 0.0000 x1
Pr1 0.0000 0.0000 0.5000 x1
H1 0.3333 0.6667 0.0000 x1
H2 0.6667 0.3333 0.5000 x1
I1 0.3333 0.6667 0.3686 x2
I2 0.6667 0.3333 0.1327 x2